The following is a calculated X-ray diffraction stick pattern of CoIr3F. It was derived from a PBE+U-relaxed structure, using Cu Kα.
Kinematic intensities with the Lorentz-polarization factor, no thermal factor.

Most intense lines, 5° ≤ 2θ ≤ 70°, in order of rising 2θ:
| Position (°2θ) | d_spacing | I (rel.) |
| --- | --- | --- |
| 21.00 | 4.231 | 18 |
| 29.86 | 2.992 | 8 |
| 36.79 | 2.443 | 100 |
| 42.74 | 2.116 | 56 |
| 48.08 | 1.892 | 8 |
| 62.04 | 1.496 | 37 |

Structural model:
Cell lengths 4.231, 4.231, 4.231 Å; angles 90.00, 90.00, 90.00 degrees
Atoms (fractional coordinates):
1 Co 0.000 0.000 0.000
2 Ir 0.000 0.500 0.500
3 Ir 0.500 0.000 0.500
4 Ir 0.500 0.500 0.000
5 F 0.500 0.500 0.500